# 1
Calculated powder diffractogram
Compound: Al5CuSe8
Radiation: CuKα
Structure: DFT lattice parameters and positions (GGA-PBE)
Kinematic intensities with the Lorentz-polarization factor, no thermal factor.

Unit cell a=7.5134 b=7.5134 c=7.5134 alpha=60.00 beta=60.00 gamma=60.00
Element x y z (fractional)
Al: 0.0000 0.0000 0.0000
Al: 0.1463 0.6179 0.6179
Al: 0.6179 0.1463 0.6179
Al: 0.6179 0.6179 0.1463
Al: 0.6179 0.6179 0.6179
Cu: 0.2500 0.2500 0.2500
Se: 0.3812 0.3812 0.3812
Se: 0.3812 0.3812 0.8563
Se: 0.3812 0.8563 0.3812
Se: 0.4018 0.8661 0.8661
Se: 0.8563 0.3812 0.3812
Se: 0.8661 0.4018 0.8661
Se: 0.8661 0.8661 0.4018
Se: 0.8661 0.8661 0.8661

Most intense lines, 2θ from 10° to 90°, in order of falling intensity:
Position (°2θ)	intensity
29.1	100
48.5	86
33.7	75
57.5	39
80.9	20
44.3	18
60.4	17
27.8	15
78.5	15
71.0	13

=====

# 2
Calculated powder diffractogram
Compound: AlCuSnSe4
Radiation: CuKα
Structure: DFT lattice parameters and positions (GGA-PBE)
Kinematic intensities with the Lorentz-polarization factor, no thermal factor.

Unit cell a=5.6600 b=5.6600 c=11.3369 alpha=90.00 beta=90.00 gamma=90.00
Element x y z (fractional)
Al: 0.0000 0.0000 0.0000
Al: 0.5000 0.5000 0.5000
Cu: 0.0000 0.0000 0.5000
Cu: 0.5000 0.5000 0.0000
Sn: 0.0000 0.5000 0.2500
Sn: 0.5000 0.0000 0.7500
Se: 0.2274 0.2684 0.8773
Se: 0.2316 0.7274 0.6227
Se: 0.2684 0.7726 0.1227
Se: 0.2726 0.2316 0.3773
Se: 0.7274 0.7684 0.3773
Se: 0.7316 0.2274 0.1227
Se: 0.7684 0.2726 0.6227
Se: 0.7726 0.7316 0.8773

Most intense lines, 2θ from 10° to 90°, in order of falling intensity:
Position (°2θ)	intensity
27.3	100
45.3	70
53.7	42
83.7	21
17.5	19
36.4	18
72.8	16
28.4	15
43.0	10
73.4	7

=====

# 3
Calculated powder diffractogram
Compound: SrAlCu3Se4
Radiation: CuKα
Structure: DFT lattice parameters and positions (GGA-PBE)
Kinematic intensities with the Lorentz-polarization factor, no thermal factor.

Unit cell a=6.0711 b=6.0711 c=6.0711 alpha=90.00 beta=90.00 gamma=90.00
Element x y z (fractional)
Sr: 0.0000 0.0000 0.0000
Al: 0.5000 0.5000 0.5000
Cu: 0.0000 0.5000 0.5000
Cu: 0.5000 0.0000 0.5000
Cu: 0.5000 0.5000 0.0000
Se: 0.2750 0.2750 0.7250
Se: 0.2750 0.7250 0.2750
Se: 0.7250 0.2750 0.2750
Se: 0.7250 0.7250 0.7250

Most intense lines, 2θ from 10° to 90°, in order of falling intensity:
Position (°2θ)	intensity
25.4	100
42.1	86
49.8	42
76.9	23
67.2	14
61.1	12
82.6	10
36.2	8
14.6	6
65.2	5

=====

# 4
Calculated powder diffractogram
Compound: SmAl8Cu4
Radiation: CuKα
Structure: DFT lattice parameters and positions (GGA-PBE)
Kinematic intensities with the Lorentz-polarization factor, no thermal factor.

Unit cell a=6.7567 b=6.7567 c=6.7567 alpha=98.39 beta=98.39 gamma=135.09
Element x y z (fractional)
Sm: 0.0000 0.0000 0.0000
Al: 0.0000 0.3486 0.3486
Al: 0.0000 0.6514 0.6514
Al: 0.2798 0.5000 0.7798
Al: 0.3486 0.0000 0.3486
Al: 0.5000 0.2798 0.7798
Al: 0.5000 0.7202 0.2202
Al: 0.6514 0.0000 0.6514
Al: 0.7202 0.5000 0.2202
Cu: 0.0000 0.0000 0.5000
Cu: 0.0000 0.5000 0.0000
Cu: 0.5000 0.0000 0.0000
Cu: 0.5000 0.5000 0.5000

Most intense lines, 2θ from 10° to 90°, in order of falling intensity:
Position (°2θ)	intensity
40.8	100
40.5	80
28.6	40
28.5	38
58.9	29
35.1	29
14.2	26
19.9	25
74.2	18
45.6	17

=====

# 5
Calculated powder diffractogram
Compound: TaAlCu
Radiation: CuKα
Structure: DFT lattice parameters and positions (GGA-PBE)
Kinematic intensities with the Lorentz-polarization factor, no thermal factor.

Unit cell a=7.9202 b=5.0609 c=5.0609 alpha=60.06 beta=90.00 gamma=90.00
Element x y z (fractional)
Ta: 0.1819 0.0000 0.0000
Ta: 0.3140 0.3332 0.3332
Ta: 0.6860 0.3332 0.3332
Ta: 0.8181 0.0000 0.0000
Al: 0.0000 0.4983 0.4983
Al: 0.5000 0.3274 0.8367
Al: 0.5000 0.8367 0.3274
Al: 0.5000 0.8375 0.8375
Cu: 0.0000 0.0099 0.4977
Cu: 0.0000 0.4977 0.0099
Cu: 0.2500 0.6683 0.6683
Cu: 0.7500 0.6683 0.6683

Most intense lines, 2θ from 10° to 90°, in order of falling intensity:
Position (°2θ)	intensity
39.9	100
42.4	95
35.5	94
66.6	43
42.8	40
23.2	29
22.5	23
68.4	22
20.3	22
88.5	21

=====

# 6
Calculated powder diffractogram
Compound: TaAlCu
Radiation: CuKα
Structure: DFT lattice parameters and positions (GGA-PBE)
Kinematic intensities with the Lorentz-polarization factor, no thermal factor.

Unit cell a=8.0919 b=4.9808 c=4.9808 alpha=61.15 beta=90.00 gamma=90.00
Element x y z (fractional)
Ta: 0.1837 0.0000 0.0000
Ta: 0.3118 0.3283 0.3283
Ta: 0.6882 0.3283 0.3283
Ta: 0.8163 0.0000 0.0000
Al: 0.2370 0.6683 0.6683
Al: 0.5000 0.3136 0.8299
Al: 0.5000 0.8299 0.3135
Al: 0.7630 0.6683 0.6683
Cu: 0.0000 0.0118 0.4905
Cu: 0.0000 0.4905 0.0118
Cu: 0.0000 0.4918 0.4918
Cu: 0.5000 0.8266 0.8266

Most intense lines, 2θ from 10° to 90°, in order of falling intensity:
Position (°2θ)	intensity
39.3	100
42.6	76
36.1	51
42.9	46
42.1	42
39.5	41
35.4	35
20.4	34
30.1	28
72.8	24

=====

# 7
Calculated powder diffractogram
Compound: ThAlCu2
Radiation: CuKα
Structure: DFT lattice parameters and positions (GGA-PBE)
Kinematic intensities with the Lorentz-polarization factor, no thermal factor.

Unit cell a=6.6510 b=6.6510 c=6.6510 alpha=90.00 beta=90.00 gamma=90.00
Element x y z (fractional)
Th: 0.0000 0.0000 0.0000
Th: 0.0000 0.5000 0.5000
Th: 0.5000 0.0000 0.5000
Th: 0.5000 0.5000 0.0000
Al: 0.0000 0.0000 0.5000
Al: 0.0000 0.5000 0.0000
Al: 0.5000 0.0000 0.0000
Al: 0.5000 0.5000 0.5000
Cu: 0.2500 0.2500 0.2500
Cu: 0.2500 0.2500 0.7500
Cu: 0.2500 0.7500 0.2500
Cu: 0.2500 0.7500 0.7500
Cu: 0.7500 0.2500 0.2500
Cu: 0.7500 0.2500 0.7500
Cu: 0.7500 0.7500 0.2500
Cu: 0.7500 0.7500 0.7500

Most intense lines, 2θ from 10° to 90°, in order of falling intensity:
Position (°2θ)	intensity
38.3	100
23.2	60
69.2	34
45.2	32
55.2	17
60.7	14
86.6	11
81.9	11
74.1	10
26.8	10

=====

# 8
Calculated powder diffractogram
Compound: ThAl8Cu4
Radiation: CuKα
Structure: DFT lattice parameters and positions (GGA-PBE)
Kinematic intensities with the Lorentz-polarization factor, no thermal factor.

Unit cell a=6.8326 b=6.8326 c=6.8326 alpha=98.07 beta=98.07 gamma=136.00
Element x y z (fractional)
Th: 0.0000 0.0000 0.0000
Al: 0.0000 0.3489 0.3489
Al: 0.0000 0.6511 0.6511
Al: 0.2792 0.5000 0.7792
Al: 0.3489 0.0000 0.3489
Al: 0.5000 0.2792 0.7792
Al: 0.5000 0.7208 0.2208
Al: 0.6511 0.0000 0.6511
Al: 0.7208 0.5000 0.2208
Cu: 0.0000 0.0000 0.5000
Cu: 0.0000 0.5000 0.0000
Cu: 0.5000 0.0000 0.0000
Cu: 0.5000 0.5000 0.5000

Most intense lines, 2θ from 10° to 90°, in order of falling intensity:
Position (°2θ)	intensity
40.3	100
40.6	70
28.3	57
14.0	49
20.0	46
28.2	42
34.8	34
58.5	29
31.6	24
66.0	19

=====

Please write out number 7 again, unchanged.
Calculated powder diffractogram
Compound: ThAlCu2
Radiation: CuKα
Structure: DFT lattice parameters and positions (GGA-PBE)
Kinematic intensities with the Lorentz-polarization factor, no thermal factor.

Unit cell a=6.6510 b=6.6510 c=6.6510 alpha=90.00 beta=90.00 gamma=90.00
Element x y z (fractional)
Th: 0.0000 0.0000 0.0000
Th: 0.0000 0.5000 0.5000
Th: 0.5000 0.0000 0.5000
Th: 0.5000 0.5000 0.0000
Al: 0.0000 0.0000 0.5000
Al: 0.0000 0.5000 0.0000
Al: 0.5000 0.0000 0.0000
Al: 0.5000 0.5000 0.5000
Cu: 0.2500 0.2500 0.2500
Cu: 0.2500 0.2500 0.7500
Cu: 0.2500 0.7500 0.2500
Cu: 0.2500 0.7500 0.7500
Cu: 0.7500 0.2500 0.2500
Cu: 0.7500 0.2500 0.7500
Cu: 0.7500 0.7500 0.2500
Cu: 0.7500 0.7500 0.7500

Most intense lines, 2θ from 10° to 90°, in order of falling intensity:
Position (°2θ)	intensity
38.3	100
23.2	60
69.2	34
45.2	32
55.2	17
60.7	14
86.6	11
81.9	11
74.1	10
26.8	10